(1)
DyErZr2Sb2: simulated X-ray diffraction stick pattern (Cu Kα, 1.54184 Å), based on a crystal structure in OQMD, relaxed with GGA-PBE.

Most intense lines, 10° ≤ 2θ ≤ 80°, sorted by position:
hkl 1 1 0, 29.6 deg, I 50; hkl 1 1 2, 31.5 deg, I 99; hkl 0 0 6, 32.4 deg, I 44; hkl 1 0 5, 34.2 deg, I 61; hkl 1 1 4, 36.8 deg, I 100; hkl 2 0 0, 42.3 deg, I 74; hkl 2 0 6, 54.3 deg, I 55; hkl 2 1 5, 55.5 deg, I 31; hkl 2 2 6, 71.1 deg, I 31; hkl 3 1 4, 73.8 deg, I 25

Atomic structure:
Cell lengths 4.270, 4.270, 16.584 Å; angles 90.00, 90.00, 90.00 degrees
Space group I4mm (No. 107)
One atom of each set of equivalent atoms:
Dy  0.000  0.000  0.000 (multiplicity 2)
Er  0.000  0.000  0.354 (multiplicity 2)
Zr  0.000  0.500  0.177 (multiplicity 4)
Sb  0.000  0.000  0.543 (multiplicity 2)
Sb  0.000  0.000  0.811 (multiplicity 2)

***

(2)
DyEr2Se3: simulated X-ray diffraction stick pattern (Cu Kα, 1.54184 Å), based on a crystal structure in OQMD, relaxed with GGA-PBE.

Most intense lines, 10° ≤ 2θ ≤ 80°, sorted by position:
hkl 0 0 3, 27.0 deg, I 23; hkl 0 1 2, 31.3 deg, I 100; hkl 1 1 0, 44.9 deg, I 74; hkl 0 1 5, 53.2 deg, I 11; hkl 0 0 6, 55.7 deg, I 7; hkl 2 0 2, 55.8 deg, I 19; hkl 0 2 4, 65.4 deg, I 12; hkl 1 0 7, 72.0 deg, I 2; hkl 1 1 6, 74.2 deg, I 17; hkl 1 2 2, 74.3 deg, I 17

Atomic structure:
Cell lengths 4.0349, 4.0349, 9.9068 Å; angles 90.00, 90.00, 120.00 degrees
Space group P-3m1 (No. 164)
One atom of each set of equivalent atoms:
Dy  0.0000  0.0000  0.0000 (multiplicity 1)
Er  0.3333  0.6667  0.6662 (multiplicity 2)
Se  0.0000  0.0000  0.5000 (multiplicity 1)
Se  0.3333  0.6667  0.1699 (multiplicity 2)

***

(3)
Dy4ErSe5: simulated X-ray diffraction stick pattern (Cu Kα, 1.54184 Å), based on a crystal structure in OQMD, relaxed with GGA-PBE.

Most intense lines, 10° ≤ 2θ ≤ 80°, sorted by position:
hkl 1 0 5, 26.9 deg, I 32; hkl 0 0 10, 31.1 deg, I 50; hkl 1 1 0, 31.2 deg, I 100; hkl 1 1 10, 44.6 deg, I 73; hkl 2 0 0, 44.7 deg, I 37; hkl 2 1 5, 53.0 deg, I 11; hkl 2 0 10, 55.5 deg, I 38; hkl 2 2 0, 65.1 deg, I 12; hkl 1 1 20, 73.7 deg, I 15; hkl 3 1 0, 74.0 deg, I 33

Atomic structure:
Cell lengths 4.051, 4.051, 28.789 Å; angles 90.00, 90.00, 90.00 degrees
Space group I4/mmm (No. 139)
One atom of each set of equivalent atoms:
Dy  0.000  0.000  0.102 (multiplicity 4)
Dy  0.000  0.000  0.304 (multiplicity 4)
Er  0.000  0.000  0.500 (multiplicity 2)
Se  0.000  0.000  0.000 (multiplicity 2)
Se  0.000  0.000  0.202 (multiplicity 4)
Se  0.000  0.000  0.402 (multiplicity 4)

***

(4)
DyErSi2: simulated X-ray diffraction stick pattern (Cu Kα, 1.54184 Å), based on a crystal structure in OQMD, relaxed with GGA-PBE.

Most intense lines, 10° ≤ 2θ ≤ 80°, sorted by position:
hkl 0 2 1, 27.6 deg, I 31; hkl 1 0 1, 28.2 deg, I 40; hkl 1 1 1, 30.4 deg, I 100; hkl 1 2 0, 32.7 deg, I 73; hkl 0 1 2, 33.6 deg, I 80; hkl 1 2 1, 36.4 deg, I 41; hkl 0 3 1, 37.8 deg, I 45; hkl 1 1 2, 41.3 deg, I 37; hkl 1 3 2, 53.3 deg, I 41; hkl 2 1 2, 59.5 deg, I 45

Atomic structure:
Cell lengths 3.821, 7.862, 5.667 Å; angles 90.00, 90.00, 90.00 degrees
Space group Pmn2_1 (No. 31)
One atom of each set of equivalent atoms:
Dy  0.000  0.071  0.000 (multiplicity 2)
Er  0.000  0.570  0.271 (multiplicity 2)
Si  0.000  0.213  0.516 (multiplicity 2)
Si  0.000  0.710  0.756 (multiplicity 2)

***

(5)
DyErZn2Sn2: simulated X-ray diffraction stick pattern (Cu Kα, 1.54184 Å), based on a crystal structure in OQMD, relaxed with GGA-PBE.

Most intense lines, 10° ≤ 2θ ≤ 80°, sorted by position:
hkl 1 0 0, 22.8 deg, I 9; hkl 1 0 3, 28.6 deg, I 16; hkl 1 0 4, 32.4 deg, I 100; hkl 1 1 0, 40.1 deg, I 60; hkl 0 0 8, 46.2 deg, I 6; hkl 1 0 7, 46.7 deg, I 15; hkl 2 0 4, 52.4 deg, I 26; hkl 1 1 8, 62.8 deg, I 16; hkl 2 1 4, 68.0 deg, I 24; hkl 3 0 0, 72.9 deg, I 10

Atomic structure:
Cell lengths 4.4966, 4.4966, 15.7153 Å; angles 90.00, 90.00, 120.00 degrees
Space group P6_3/mmc (No. 194)
One atom of each set of equivalent atoms:
Dy  0.0000  0.0000  0.0000 (multiplicity 2)
Er  0.0000  0.0000  0.2500 (multiplicity 2)
Zn  0.3333  0.6667  0.1612 (multiplicity 4)
Sn  0.3333  0.6667  0.6134 (multiplicity 4)

***

(6)
DyErZn2Sn2: simulated X-ray diffraction stick pattern (Cu Kα, 1.54184 Å), based on a crystal structure in OQMD, relaxed with GGA-PBE.

Most intense lines, 10° ≤ 2θ ≤ 80°, sorted by position:
hkl 1 0 0, 22.8 deg, I 9; hkl 1 0 3, 28.5 deg, I 16; hkl 1 0 4, 32.4 deg, I 100; hkl 1 1 0, 40.1 deg, I 60; hkl 1 0 7, 46.7 deg, I 15; hkl 1 0 8, 52.1 deg, I 6; hkl 2 0 4, 52.4 deg, I 26; hkl 1 1 8, 62.8 deg, I 16; hkl 2 1 4, 68.0 deg, I 24; hkl 3 0 0, 72.8 deg, I 10

Atomic structure:
Cell lengths 4.4987, 4.4987, 15.7249 Å; angles 90.00, 90.00, 120.00 degrees
Space group P6_3/mmc (No. 194)
One atom of each set of equivalent atoms:
Dy  0.0000  0.0000  0.2500 (multiplicity 2)
Er  0.0000  0.0000  0.0000 (multiplicity 2)
Zn  0.3333  0.6667  0.1605 (multiplicity 4)
Sn  0.3333  0.6667  0.6123 (multiplicity 4)

***

(7)
Dy2ErTl3: simulated X-ray diffraction stick pattern (Cu Kα, 1.54184 Å), based on a crystal structure in OQMD, relaxed with GGA-PBE.

Most intense lines, 10° ≤ 2θ ≤ 80°, sorted by position:
hkl 1 0 0, 24.5 deg, I 1; hkl 1 0 3, 33.1 deg, I 100; hkl 1 1 0, 34.9 deg, I 43; hkl 0 0 6, 44.6 deg, I 11; hkl 2 0 0, 50.3 deg, I 16; hkl 1 1 6, 57.8 deg, I 21; hkl 2 1 3, 61.5 deg, I 34; hkl 2 0 6, 69.4 deg, I 12; hkl 2 2 0, 73.8 deg, I 5; hkl 1 0 9, 74.7 deg, I 10

Atomic structure:
Cell lengths 3.631, 3.631, 12.202 Å; angles 90.00, 90.00, 90.00 degrees
Space group P4/mmm (No. 123)
One atom of each set of equivalent atoms:
Dy  0.000  0.000  0.167 (multiplicity 2)
Er  0.000  0.000  0.500 (multiplicity 1)
Tl  0.500  0.500  0.000 (multiplicity 1)
Tl  0.500  0.500  0.335 (multiplicity 2)

***

(8)
DyEr2Tm5: simulated X-ray diffraction stick pattern (Cu Kα, 1.54184 Å), based on a crystal structure in OQMD, relaxed with GGA-PBE.

Most intense lines, 10° ≤ 2θ ≤ 80°, sorted by position:
hkl 0 2 2, 29.0 deg, I 24; hkl 2 0 0, 32.4 deg, I 24; hkl 1 2 2, 33.3 deg, I 100; hkl 2 2 2, 44.0 deg, I 15; hkl 0 4 0, 51.4 deg, I 20; hkl 3 2 2, 58.4 deg, I 20; hkl 2 4 0, 62.1 deg, I 22; hkl 1 4 4, 62.6 deg, I 16; hkl 2 4 4, 69.9 deg, I 4; hkl 4 2 2, 75.4 deg, I 3

Atomic structure:
Cell lengths 5.527, 7.115, 12.324 Å; angles 90.00, 90.00, 90.00 degrees
Space group Amm2 (No. 38)
One atom of each set of equivalent atoms:
Dy  0.000  0.000  0.000 (multiplicity 2)
Er  0.000  0.000  0.500 (multiplicity 2)
Er  0.500  0.000  0.833 (multiplicity 2)
Tm  0.000  0.250  0.250 (multiplicity 4)
Tm  0.500  0.000  0.333 (multiplicity 2)
Tm  0.500  0.250  0.083 (multiplicity 4)

***

(9)
Dy3Er2Tm3: simulated X-ray diffraction stick pattern (Cu Kα, 1.54184 Å), based on a crystal structure in OQMD, relaxed with GGA-PBE.

Most intense lines, 10° ≤ 2θ ≤ 80°, sorted by position:
hkl 2 0 0, 28.9 deg, I 24; hkl 0 0 2, 32.2 deg, I 24; hkl 2 0 1, 33.1 deg, I 100; hkl 2 0 2, 43.8 deg, I 16; hkl 2 2 0, 51.1 deg, I 20; hkl 2 0 3, 58.0 deg, I 20; hkl 2 2 2, 61.7 deg, I 22; hkl 4 0 1, 62.3 deg, I 16; hkl 4 0 2, 69.6 deg, I 4; hkl 2 0 4, 74.9 deg, I 3

Atomic structure:
Cell lengths 7.1445, 7.1445, 5.5587 Å; angles 90.00, 90.00, 120.00 degrees
Space group P-6m2 (No. 187)
One atom of each set of equivalent atoms:
Dy  0.0002  0.5001  0.0000 (multiplicity 3)
Er  0.0000  0.0000  0.0000 (multiplicity 1)
Er  0.3333  0.6667  0.5000 (multiplicity 1)
Tm  0.3335  0.1668  0.5000 (multiplicity 3)

***

(10)
Dy3Y3Er2: simulated X-ray diffraction stick pattern (Cu Kα, 1.54184 Å), based on a crystal structure in OQMD, relaxed with GGA-PBE.

Most intense lines, 10° ≤ 2θ ≤ 80°, sorted by position:
hkl 2 0 0, 28.5 deg, I 26; hkl 0 0 2, 31.8 deg, I 24; hkl 2 0 1, 32.7 deg, I 100; hkl 2 0 2, 43.3 deg, I 17; hkl 2 2 0, 50.5 deg, I 20; hkl 2 0 3, 57.3 deg, I 20; hkl 2 2 2, 60.9 deg, I 22; hkl 4 0 1, 61.5 deg, I 16; hkl 4 0 2, 68.6 deg, I 4; hkl 4 0 3, 79.8 deg, I 8

Atomic structure:
Cell lengths 7.2328, 7.2328, 5.6209 Å; angles 90.00, 90.00, 120.00 degrees
Space group P-6m2 (No. 187)
One atom of each set of equivalent atoms:
Dy  0.1672  0.3343  0.0000 (multiplicity 3)
Y  0.3334  0.1667  0.5000 (multiplicity 3)
Er  0.3333  0.6667  0.5000 (multiplicity 1)
Er  0.6667  0.3333  0.0000 (multiplicity 1)

***

(11)
DyErZn4: simulated X-ray diffraction stick pattern (Cu Kα, 1.54184 Å), based on a crystal structure in OQMD, relaxed with GGA-PBE.

Most intense lines, 10° ≤ 2θ ≤ 80°, sorted by position:
hkl 1 0 1, 23.2 deg, I 21; hkl 1 1 2, 33.7 deg, I 20; hkl 1 2 1, 34.6 deg, I 100; hkl 0 2 2, 34.9 deg, I 44; hkl 2 0 0, 40.5 deg, I 31; hkl 1 0 3, 41.3 deg, I 49; hkl 2 2 2, 54.5 deg, I 28; hkl 1 3 4, 67.1 deg, I 12; hkl 1 4 3, 68.4 deg, I 11; hkl 3 2 1, 69.9 deg, I 13

Atomic structure:
Cell lengths 4.452, 7.044, 7.527 Å; angles 90.00, 90.00, 90.00 degrees
Space group Imm2 (No. 44)
One atom of each set of equivalent atoms:
Dy  0.000  0.000  0.000 (multiplicity 2)
Er  0.000  0.500  0.939 (multiplicity 2)
Zn  0.000  0.206  0.635 (multiplicity 4)
Zn  0.000  0.294  0.303 (multiplicity 4)

***

(12)
DyF4: simulated X-ray diffraction stick pattern (Cu Kα, 1.54184 Å), based on a crystal structure in OQMD, relaxed with GGA-PBE.

Most intense lines, 10° ≤ 2θ ≤ 80°, sorted by position:
hkl 1 1 0, 17.1 deg, I 61; hkl 0 2 0, 17.3 deg, I 43; hkl 0 0 1, 19.0 deg, I 100; hkl 1 1 -1, 23.5 deg, I 44; hkl 0 2 1, 25.9 deg, I 47; hkl 1 1 1, 27.8 deg, I 42; hkl 2 0 0, 29.7 deg, I 36; hkl 1 3 0, 30.1 deg, I 70; hkl 1 3 -1, 34.3 deg, I 75; hkl 2 0 1, 38.6 deg, I 42

Atomic structure:
Cell lengths 6.117, 10.232, 4.750 Å; angles 90.00, 100.95, 90.00 degrees
Space group C2/m (No. 12)
One atom of each set of equivalent atoms:
Dy  0.000  0.172  0.000 (multiplicity 4)
F  0.091  0.500  0.422 (multiplicity 4)
F  0.104  0.000  0.787 (multiplicity 4)
F  0.178  0.288  0.738 (multiplicity 8)